Record 1
This entry pairs a crystal structure of La2UNi3Rh12 with its calculated powder diffraction line list. Radiation: copper Kα. Structure: the GGA-PBE geometry in Alexandria.
Neutral-atom scattering factors, no anomalous dispersion.

Structural model:
```
data_La2UNi3Rh12
_chemical_formula_sum 'La6 U3 Ni9 Rh36'
_cell_length_a 7.9120
_cell_length_b 7.9120
_cell_length_c 19.0152
_cell_angle_alpha 90.00
_cell_angle_beta 90.00
_cell_angle_gamma 120.00
_space_group_name_H-M_alt 'R -3 m'
_space_group_IT_number 166
_space_group_name_Hall '-R 3 2"'
loop_
_atom_site_label
_atom_site_type_symbol
_atom_site_fract_x
_atom_site_fract_y
_atom_site_fract_z
La1 La 0.0000 0.0000 0.1089
U1 U 0.0000 0.0000 0.5000
Ni1 Ni 0.0000 0.5000 0.0000
Rh1 Rh 0.0085 0.5042 0.3717
Rh2 Rh 0.0154 0.5077 0.8728
```

Peak list (8 most intense, 10 to 90 degrees two-theta, in order of rising 2θ)
two_theta	intensity	h k l
26.6	42	1 1 3
26.8	33	0 1 5
32.2	85	0 2 4
42.2	23	1 2 5
45.9	100	2 2 0
46.5	88	2 0 8
67.4	28	0 4 8
85.4	29	4 2 8

=====

Record 2
This entry pairs a crystal structure of La4NiRu2 with its calculated powder diffraction line list. Radiation: copper Kα. Structure: the GGA-PBE geometry in Alexandria.
Neutral-atom scattering factors, no anomalous dispersion.

Structural model:
```
data_La4NiRu2
_chemical_formula_sum 'La8 Ni2 Ru4'
_cell_length_a 7.691
_cell_length_b 7.738
_cell_length_c 7.744
_cell_angle_alpha 110.68
_cell_angle_beta 108.61
_cell_angle_gamma 108.59
_space_group_name_H-M_alt 'P 1'
_space_group_IT_number 1
loop_
_space_group_symop_operation_xyz
'x,y,z'
loop_
_atom_site_label
_atom_site_type_symbol
_atom_site_fract_x
_atom_site_fract_y
_atom_site_fract_z
La1 La 0.000 0.000 0.000
La2 La 0.005 0.502 0.004
La3 La 0.133 0.902 0.522
La4 La 0.403 0.790 0.916
La5 La 0.499 0.385 0.614
La6 La 0.506 0.390 0.117
La7 La 0.633 0.906 0.517
La8 La 0.903 0.301 0.405
Ni1 Ni 0.270 0.532 0.388
Ni2 Ni 0.771 0.775 0.148
Ru1 Ru 0.144 0.287 0.759
Ru2 Ru 0.344 0.983 0.255
Ru3 Ru 0.644 0.144 0.903
Ru4 Ru 0.844 0.639 0.599
```

Peak list (8 most intense, 10 to 90 degrees two-theta, in order of rising 2θ)
two_theta	intensity	h k l
28.2	21	0 2 0
31.4	100	1 -1 2
31.6	33	2 1 -2
32.0	26	-1 2 1
32.2	28	-2 2 1
37.4	21	1 2 -3
37.7	16	2 -3 1
37.8	16	3 -2 0

=====

Record 3
This entry pairs a crystal structure of La3NiRu with its calculated powder diffraction line list. Radiation: copper Kα. Structure: the GGA-PBE geometry in Alexandria.
Neutral-atom scattering factors, no anomalous dispersion.

Structural model:
```
data_La3NiRu
_chemical_formula_sum 'La6 Ni2 Ru2'
_cell_length_a 3.968
_cell_length_b 10.008
_cell_length_c 6.626
_cell_angle_alpha 90.00
_cell_angle_beta 90.00
_cell_angle_gamma 90.00
_space_group_name_H-M_alt 'P m m n'
_space_group_IT_number 59
loop_
_space_group_symop_operation_xyz
'x,y,z'
'-x,-y,-z'
'-x+1/2,-y+1/2,z'
'x+1/2,y+1/2,-z'
'x+1/2,-y,-z'
'-x+1/2,y,z'
'-x,y+1/2,-z'
'x,-y+1/2,z'
loop_
_atom_site_label
_atom_site_type_symbol
_atom_site_fract_x
_atom_site_fract_y
_atom_site_fract_z
La1 La 0.250 0.064 0.240
La2 La 0.250 0.250 0.748
Ni1 Ni 0.250 0.750 0.562
Ru1 Ru 0.250 0.750 0.956
```

Peak list (8 most intense, 10 to 90 degrees two-theta, in order of rising 2θ)
two_theta	intensity	h k l
26.9	20	0 0 2
30.0	46	0 3 1
31.8	100	1 2 1
35.1	22	1 3 0
36.5	68	1 1 2
45.7	21	2 0 0
49.5	28	0 3 3
58.7	32	1 5 2

=====

Record 4
This entry pairs a crystal structure of LaNi2S with its calculated powder diffraction line list. Radiation: copper Kα. Structure: the GGA-PBE geometry in Alexandria.
Neutral-atom scattering factors, no anomalous dispersion.

Structural model:
```
data_LaNi2S
_chemical_formula_sum 'La4 Ni8 S4'
_cell_length_a 4.738
_cell_length_b 8.239
_cell_length_c 7.180
_cell_angle_alpha 90.00
_cell_angle_beta 90.00
_cell_angle_gamma 90.00
_space_group_name_H-M_alt 'I m a 2'
_space_group_IT_number 46
loop_
_space_group_symop_operation_xyz
'x,y,z'
'-x,-y,z'
'-x+1/2,y,z'
'x+1/2,-y,z'
'x+1/2,y+1/2,z+1/2'
'-x+1/2,-y+1/2,z+1/2'
'-x,y+1/2,z+1/2'
'x,-y+1/2,z+1/2'
loop_
_atom_site_label
_atom_site_type_symbol
_atom_site_fract_x
_atom_site_fract_y
_atom_site_fract_z
La1 La 0.250 0.185 0.000
Ni1 Ni 0.000 0.000 0.605
Ni2 Ni 0.250 0.554 0.803
S1 S 0.250 0.685 0.251
```

Peak list (8 most intense, 10 to 90 degrees two-theta, in order of rising 2θ)
two_theta	intensity	h k l
21.6	21	1 1 0
31.4	43	1 2 1
33.1	100	1 1 2
35.0	46	0 3 1
39.2	21	0 1 3
41.6	22	2 1 1
49.9	19	1 4 1
51.3	20	2 2 2

=====

Record 5
This entry pairs a crystal structure of La5Ni2Sb with its calculated powder diffraction line list. Radiation: copper Kα. Structure: the GGA-PBE geometry in Alexandria.
Neutral-atom scattering factors, no anomalous dispersion.

Structural model:
```
data_La5Ni2Sb
_chemical_formula_sum 'La20 Ni8 Sb4'
_cell_length_a 8.128
_cell_length_b 8.128
_cell_length_c 13.702
_cell_angle_alpha 90.00
_cell_angle_beta 90.00
_cell_angle_gamma 90.00
_space_group_name_H-M_alt 'I 4/m c m'
_space_group_IT_number 140
_space_group_name_Hall '-I 4 2c'
loop_
_atom_site_label
_atom_site_type_symbol
_atom_site_fract_x
_atom_site_fract_y
_atom_site_fract_z
La1 La 0.000 0.000 0.000
La2 La 0.157 0.343 0.137
Ni1 Ni 0.127 0.373 0.500
Sb1 Sb 0.000 0.000 0.250
```

Peak list (8 most intense, 10 to 90 degrees two-theta, in order of rising 2θ)
two_theta	intensity	h k l
25.3	28	2 1 1
30.4	34	1 1 4
31.5	100	2 1 3
34.2	41	2 0 4
34.9	72	3 1 0
41.3	16	2 1 5
54.9	24	3 3 4
65.5	19	3 1 8

=====

Record 6
This entry pairs a crystal structure of SrLaNi2Sb2 with its calculated powder diffraction line list. Radiation: copper Kα. Structure: the GGA-PBE geometry in Alexandria.
Neutral-atom scattering factors, no anomalous dispersion.

Structural model:
```
data_SrLaNi2Sb2
_chemical_formula_sum 'Sr1 La1 Ni2 Sb2'
_cell_length_a 4.3898
_cell_length_b 4.3898
_cell_length_c 8.9428
_cell_angle_alpha 90.00
_cell_angle_beta 90.00
_cell_angle_gamma 120.00
_space_group_name_H-M_alt 'P -3 m 1'
_space_group_IT_number 164
_space_group_name_Hall '-P 3 2"'
loop_
_atom_site_label
_atom_site_type_symbol
_atom_site_fract_x
_atom_site_fract_y
_atom_site_fract_z
Sr1 Sr 0.0000 0.0000 0.0000
La1 La 0.0000 0.0000 0.5000
Ni1 Ni 0.3333 0.6667 0.7285
Sb1 Sb 0.3333 0.6667 0.2554
```

Peak list (8 most intense, 10 to 90 degrees two-theta, in order of rising 2θ)
two_theta	intensity	h k l
25.5	10	1 0 1
30.9	100	0 1 2
40.3	16	0 0 4
41.1	48	1 1 0
52.3	22	2 0 2
59.0	30	1 1 4
67.5	11	0 1 6
68.6	19	1 2 2

=====

Record 7
This entry pairs a crystal structure of LaNiSe2 with its calculated powder diffraction line list. Radiation: copper Kα. Structure: the GGA-PBE geometry in Alexandria.
Neutral-atom scattering factors, no anomalous dispersion.

Structural model:
```
data_LaNiSe2
_chemical_formula_sum 'La1 Ni1 Se2'
_cell_length_a 4.126
_cell_length_b 4.307
_cell_length_c 5.932
_cell_angle_alpha 90.00
_cell_angle_beta 110.28
_cell_angle_gamma 90.00
_space_group_name_H-M_alt 'P 1 m 1'
_space_group_IT_number 6
loop_
_space_group_symop_operation_xyz
'x,y,z'
'x,-y,z'
loop_
_atom_site_label
_atom_site_type_symbol
_atom_site_fract_x
_atom_site_fract_y
_atom_site_fract_z
La1 La 0.000 0.000 0.000
Ni1 Ni 0.636 0.500 0.281
Se1 Se 0.429 0.500 0.858
Se2 Se 0.712 0.000 0.424
```

Peak list (8 most intense, 10 to 90 degrees two-theta, in order of rising 2θ)
two_theta	intensity	h k l
15.9	27	0 0 1
31.1	100	1 1 0
32.5	50	1 0 -2
38.5	33	0 1 2
38.8	22	1 1 1
42.0	25	0 2 0
43.9	22	2 0 -1
54.0	23	1 2 -2

=====

Record 8
This entry pairs a crystal structure of La3Si7Ni3 with its calculated powder diffraction line list. Radiation: copper Kα. Structure: the GGA-PBE geometry in Alexandria.
Neutral-atom scattering factors, no anomalous dispersion.

Structural model:
```
data_La3Si7Ni3
_chemical_formula_sum 'La6 Si14 Ni6'
_cell_length_a 4.214
_cell_length_b 4.148
_cell_length_c 26.230
_cell_angle_alpha 90.00
_cell_angle_beta 90.00
_cell_angle_gamma 90.00
_space_group_name_H-M_alt 'A m m 2'
_space_group_IT_number 38
loop_
_space_group_symop_operation_xyz
'x,y,z'
'-x,-y,z'
'-x,y,z'
'x,-y,z'
'x,y+1/2,z+1/2'
'-x,-y+1/2,z+1/2'
'-x,y+1/2,z+1/2'
'x,-y+1/2,z+1/2'
loop_
_atom_site_label
_atom_site_type_symbol
_atom_site_fract_x
_atom_site_fract_y
_atom_site_fract_z
La1 La 0.000 0.000 0.000
La2 La 0.000 0.000 0.368
La3 La 0.500 0.000 0.687
Si1 Si 0.000 0.000 0.149
Si2 Si 0.000 0.000 0.593
Si3 Si 0.000 0.000 0.778
Si4 Si 0.500 0.000 0.093
Si5 Si 0.500 0.000 0.278
Si6 Si 0.500 0.000 0.462
Si7 Si 0.500 0.000 0.910
Ni1 Ni 0.000 0.000 0.236
Ni2 Ni 0.500 0.000 0.554
Ni3 Ni 0.500 0.000 0.820
```

Peak list (8 most intense, 10 to 90 degrees two-theta, in order of rising 2θ)
two_theta	intensity	h k l
30.4	73	1 1 1
32.2	26	0 1 7
34.7	81	1 0 8
34.8	100	1 1 5
37.7	38	0 1 9
42.9	40	2 0 0
43.6	39	0 2 0
56.9	38	1 2 8